# Cr3NiS6O24
Theoretical powder diffraction line list, Cu Kα. Input: a crystal structure in Alexandria, relaxed with PBE+U.
Intensities are scaled so that the largest is 100.

Cell and atoms:
```
Cr3NiS6O24
1.0
4.146 2.394 7.463
-4.146 2.394 7.463
0.000 -4.788 7.463
Cr Ni S O
3 1 6 24
direct
0.000 0.000 0.000 Cr
0.204 0.204 0.204 Cr
0.711 0.711 0.711 Cr
0.505 0.505 0.505 Ni
0.102 0.396 0.818 S
0.314 0.893 0.607 S
0.396 0.818 0.102 S
0.607 0.314 0.893 S
0.818 0.102 0.396 S
0.893 0.607 0.314 S
0.012 0.069 0.379 O
0.030 0.401 0.337 O
0.047 0.249 0.846 O
0.069 0.379 0.012 O
0.117 0.981 0.739 O
0.249 0.846 0.047 O
0.305 0.367 0.684 O
0.326 0.704 0.641 O
0.337 0.030 0.401 O
0.367 0.684 0.305 O
0.379 0.012 0.069 O
0.401 0.337 0.030 O
0.466 0.872 0.649 O
0.593 0.736 0.969 O
0.641 0.326 0.704 O
0.649 0.466 0.872 O
0.684 0.305 0.367 O
0.704 0.641 0.326 O
0.736 0.969 0.593 O
0.739 0.117 0.981 O
0.846 0.047 0.249 O
0.872 0.649 0.466 O
0.969 0.593 0.736 O
0.981 0.739 0.117 O
```

Top 10 peaks for 10 to 90 degrees two-theta, low angle first:
Position (°2θ)  d [Å]  Rel. int.
14.65  6.045  55
20.11  4.415  47
21.43  4.146  13
24.56  3.624  100
29.56  3.022  40
32.28  2.774  50
33.25  2.695  11
37.58  2.393  16
50.35  1.812  13
53.02  1.727  17